This entry pairs a crystal structure of MnBMo with its computed powder X-ray diffraction pattern. Radiation: Cu Kα. Structure: a DFT-relaxed cell (GGA-PBE, Alexandria).
Peak positions follow from Bragg's law for the DFT cell and can differ from measured ones.

a = 10.330 Å, b = 3.052 Å, c = 6.016 Å
α = 90.00°, β = 90.00°, γ = 90.00°
Atoms (fractional coordinates):
Mn 0.124 0.000 0.069
Mn 0.250 0.000 0.704
Mn 0.376 0.000 0.069
Mn 0.624 0.000 0.931
Mn 0.750 0.000 0.296
Mn 0.876 0.000 0.931
B 0.088 0.000 0.448
B 0.250 0.500 0.948
B 0.412 0.000 0.448
B 0.588 0.000 0.552
B 0.750 0.500 0.052
B 0.912 0.000 0.552
Mo 0.045 0.500 0.730
Mo 0.250 0.500 0.354
Mo 0.455 0.500 0.730
Mo 0.545 0.500 0.270
Mo 0.750 0.500 0.646
Mo 0.955 0.500 0.270

Principal peaks in the range 10 to 80 degrees two-theta, by angle:
| d (Å) | two_theta | I (rel.) |
| --- | --- | --- |
| 2.722 | 32.91 | 22 |
| 2.142 | 42.18 | 31 |
| 2.135 | 42.33 | 100 |
| 2.098 | 43.13 | 28 |
| 1.979 | 45.86 | 29 |
| 1.970 | 46.07 | 40 |

=====

This entry pairs a crystal structure of MnB3Mo with its computed powder X-ray diffraction pattern. Radiation: Cu Kα. Structure: a DFT-relaxed cell (GGA-PBE, Alexandria).
Peak positions follow from Bragg's law for the DFT cell and can differ from measured ones.

a = 9.233 Å, b = 9.233 Å, c = 3.035 Å
α = 90.00°, β = 90.00°, γ = 160.53°
Atoms (fractional coordinates):
Mn 0.204 0.796 0.750
Mn 0.796 0.204 0.250
B 0.320 0.680 0.750
B 0.374 0.626 0.250
B 0.475 0.525 0.250
B 0.525 0.475 0.750
B 0.626 0.374 0.750
B 0.680 0.320 0.250
Mo 0.075 0.925 0.250
Mo 0.925 0.075 0.750

Principal peaks in the range 10 to 80 degrees two-theta, by angle:
| d (Å) | two_theta | I (rel.) |
| --- | --- | --- |
| 3.078 | 29.01 | 58 |
| 2.525 | 35.55 | 81 |
| 2.275 | 39.62 | 23 |
| 2.049 | 44.21 | 100 |
| 1.998 | 45.39 | 54 |
| 1.561 | 59.18 | 32 |

=====

This entry pairs a crystal structure of Mn5B2MoW2 with its computed powder X-ray diffraction pattern. Radiation: Cu Kα. Structure: a DFT-relaxed cell (GGA-PBE, Alexandria).
Peak positions follow from Bragg's law for the DFT cell and can differ from measured ones.

a = 8.700 Å, b = 8.700 Å, c = 2.949 Å
α = 90.00°, β = 90.00°, γ = 90.00°
Atoms (fractional coordinates):
Mn 0.000 0.500 0.000
Mn 0.069 0.218 0.000
Mn 0.218 0.931 0.000
Mn 0.282 0.431 0.000
Mn 0.431 0.718 0.000
Mn 0.500 0.000 0.000
Mn 0.569 0.282 0.000
Mn 0.718 0.569 0.000
Mn 0.782 0.069 0.000
Mn 0.931 0.782 0.000
B 0.121 0.379 0.500
B 0.379 0.879 0.500
B 0.621 0.121 0.500
B 0.879 0.621 0.500
Mo 0.000 0.000 0.500
Mo 0.500 0.500 0.500
W 0.176 0.676 0.500
W 0.324 0.176 0.500
W 0.676 0.824 0.500
W 0.824 0.324 0.500

Principal peaks in the range 10 to 80 degrees two-theta, by angle:
| d (Å) | two_theta | I (rel.) |
| --- | --- | --- |
| 3.891 | 22.86 | 61 |
| 2.350 | 38.29 | 100 |
| 2.129 | 42.46 | 35 |
| 2.110 | 42.86 | 76 |
| 2.012 | 45.06 | 87 |
| 1.209 | 79.25 | 24 |